Na3CaNbSiP2O12: theoretical powder X-ray diffraction pattern (CuKα), based on the GGA-PBE geometry in the Materials Project.

Atomic structure:
Cell: 15.846 9.265 9.089 Å, 90.00 124.23 90.00°
Space group Cc (No. 9)
Symmetry-distinct sites (fractional):
Na (0.000, 0.071, 0.000) [4 per cell]
Na (0.171, 0.409, 0.785) [4 per cell]
Na (0.427, 0.223, 0.032) [4 per cell]
Ca (0.076, 0.253, 0.410) [4 per cell]
Nb (0.285, 0.244, 0.199) [4 per cell]
Si (0.029, 0.383, 0.997) [4 per cell]
P (0.189, 0.044, 0.827) [4 per cell]
P (0.326, 0.415, 0.599) [4 per cell]
O (0.023, 0.444, 0.493) [4 per cell]
O (0.026, 0.307, 0.148) [4 per cell]
O (0.122, 0.145, 0.672) [4 per cell]
O (0.127, 0.038, 0.376) [4 per cell]
O (0.146, 0.321, 0.041) [4 per cell]
O (0.228, 0.367, 0.576) [4 per cell]
O (0.248, 0.070, 0.278) [4 per cell]
O (0.275, 0.134, 0.989) [4 per cell]
O (0.324, 0.363, 0.425) [4 per cell]
O (0.325, 0.413, 0.086) [4 per cell]
O (0.421, 0.373, 0.778) [4 per cell]
O (0.433, 0.197, 0.310) [4 per cell]

Principal peaks in the range 10 to 90 degrees two-theta, low angle first:
h k l	Position (°2θ)	I (rel.)
1 1 -1	13.65	63
1 1 1	19.16	66
3 1 -1	19.35	69
3 1 0	22.52	34
1 1 -2	22.75	30
2 2 -2	27.50	39
5 1 -1	30.69	49
4 2 -2	30.88	52
3 1 -3	31.06	39
2 0 2	33.51	100